Starting from a GGA-PBE-relaxed structure, the X-ray powder pattern of Dy2Co3Sn5 was calculated for Cu Ka.
Neutral-atom scattering factors, no anomalous dispersion.

The 12 most intense peaks (2θ = 10–90°), by intensity:
2θ/deg	Rel. int.	(hkl)
34.3	100.0	1 3 2
41.7	26.8	2 0 0
36.9	15.7	0 10 1
40.8	13.0	0 4 3
71.4	12.1	3 3 2
37.5	11.7	1 9 0
64.9	11.7	1 13 3
56.9	9.0	2 10 1
59.7	8.6	2 4 3
32.9	7.0	1 1 2
64.7	6.6	1 17 0
32.7	6.4	0 6 2

Atomic structure:
```
data_Dy2Co3Sn5
_chemical_formula_sum 'Dy8 Co12 Sn20'
_cell_length_a 4.329
_cell_length_b 25.973
_cell_length_c 7.065
_cell_angle_alpha 90.00
_cell_angle_beta 90.00
_cell_angle_gamma 90.00
_space_group_name_H-M_alt 'C m c 21'
_space_group_IT_number 36
loop_
_space_group_symop_operation_xyz
'x,y,z'
'-x,-y,z+1/2'
'-x,y,z'
'x,-y,z+1/2'
'x+1/2,y+1/2,z'
'-x+1/2,-y+1/2,z+1/2'
'-x+1/2,y+1/2,z'
'x+1/2,-y+1/2,z+1/2'
loop_
_atom_site_label
_atom_site_type_symbol
_atom_site_fract_x
_atom_site_fract_y
_atom_site_fract_z
Dy1 Dy 0.000 0.026 0.000
Dy2 Dy 0.000 0.329 0.985
Co1 Co 0.000 0.106 0.257
Co2 Co 0.000 0.278 0.477
Co3 Co 0.000 0.450 0.221
Sn1 Sn 0.000 0.094 0.626
Sn2 Sn 0.000 0.204 0.191
Sn3 Sn 0.000 0.212 0.766
Sn4 Sn 0.000 0.379 0.496
Sn5 Sn 0.000 0.452 0.835
```